Record 1
Dy4SbPt: calculated powder diffractogram (Cu Kα (λ = 1.5418 Å)), based on a GGA-PBE-relaxed structure.

Most intense lines, 2θ = 15–90°, in order of rising 2θ:
(1 0 2), d = 2.895 Å, rel. 78
(2 0 -2), d = 2.860 Å, rel. 76
(1 2 0), d = 2.844 Å, rel. 100
(1 1 2), d = 2.648 Å, rel. 45
(2 1 -2), d = 2.621 Å, rel. 65
(0 2 2), d = 2.564 Å, rel. 72
(1 2 -2), d = 2.556 Å, rel. 83
(1 0 -4), d = 2.195 Å, rel. 50
(2 2 0), d = 2.154 Å, rel. 31
(3 1 0), d = 1.830 Å, rel. 28

Structural model:
```
Dy4SbPt
1.0
6.0980 0.0000 0.0000
0.0000 6.5575 0.0000
-3.0609 0.0000 8.2299
Dy Sb Pt
8 2 2
Cartesian
-0.6289 0.0016 1.7137 Dy
-0.6289 3.2771 1.7137 Dy
0.5576 1.6394 4.9775 Dy
2.3098 1.6394 0.8606 Dy
0.7274 4.9181 7.3693 Dy
2.4795 4.9181 3.2524 Dy
3.6660 6.5559 6.5161 Dy
3.6660 3.2803 6.5161 Dy
-0.4461 4.9181 4.4817 Sb
3.4832 1.6394 3.7482 Sb
1.4233 4.9181 0.5928 Pt
1.6138 1.6394 7.6370 Pt
```

=====

Record 2
DySbPt5: calculated powder diffractogram (Cu Kα (λ = 1.5418 Å)), based on a GGA-PBE-relaxed structure.

Most intense lines, 2θ = 15–90°, in order of rising 2θ:
(1 0 4), d = 2.572 Å, rel. 70
(3 1 1), d = 2.513 Å, rel. 100
(2 1 3), d = 2.482 Å, rel. 52
(0 2 2), d = 2.462 Å, rel. 48
(2 2 1), d = 2.287 Å, rel. 54
(4 0 1), d = 2.147 Å, rel. 87
(1 2 3), d = 2.126 Å, rel. 53
(2 1 4), d = 2.119 Å, rel. 32
(1 2 4), d = 1.884 Å, rel. 32
(6 2 2), d = 1.256 Å, rel. 29

Structural model:
```
DySbPt5
1.0
8.7663 0.0000 0.0000
0.0000 5.5363 0.0000
0.0000 0.0000 10.7631
Dy Sb Pt
4 4 20
Cartesian
2.1571 1.3841 0.5060 Dy
2.2261 4.1522 5.8876 Dy
6.5402 1.3841 4.8756 Dy
6.6092 4.1522 10.2571 Dy
1.4160 1.3841 3.7222 Sb
2.9672 4.1522 9.1038 Sb
5.7991 1.3841 1.6594 Sb
7.3503 4.1522 7.0409 Sb
0.5459 2.8059 8.5669 Pt
0.5459 5.4986 8.5669 Pt
0.6579 1.3841 6.1635 Pt
0.8042 4.1522 0.2262 Pt
1.5914 4.1522 3.0050 Pt
2.7918 1.3841 8.3866 Pt
3.5790 1.3841 5.6078 Pt
3.7253 4.1522 0.7820 Pt
3.8373 0.0377 3.1854 Pt
3.8373 2.7304 3.1854 Pt
4.9290 2.8059 7.5778 Pt
4.9290 5.4986 7.5778 Pt
5.0410 1.3841 9.9812 Pt
5.1873 4.1522 5.1554 Pt
5.9745 4.1522 2.3766 Pt
7.1749 1.3841 7.7582 Pt
7.9621 1.3841 10.5369 Pt
8.1084 4.1522 4.5996 Pt
8.2204 0.0377 2.1962 Pt
8.2204 2.7304 2.1962 Pt
```

=====

Record 3
DySc3Pt2: calculated powder diffractogram (Cu Kα (λ = 1.5418 Å)), based on a GGA-PBE-relaxed structure.

Most intense lines, 2θ = 15–90°, in order of rising 2θ:
(0 2 1), d = 3.565 Å, rel. 55
(1 1 1), d = 3.443 Å, rel. 75
(1 2 1), d = 2.804 Å, rel. 28
(1 1 2), d = 2.588 Å, rel. 100
(1 3 0), d = 2.378 Å, rel. 49
(2 0 0), d = 2.271 Å, rel. 41
(0 2 3), d = 1.993 Å, rel. 24
(1 1 3), d = 1.971 Å, rel. 25
(1 3 2), d = 1.949 Å, rel. 29
(2 2 1), d = 1.915 Å, rel. 21

Structural model:
```
DySc3Pt2
1.0
4.5423 0.0000 0.0000
0.0000 8.3734 0.0000
0.0000 0.0000 6.7997
Dy Sc Pt
2 6 4
Cartesian
0.0000 0.6244 0.0000 Dy
0.0000 7.7490 3.3999 Dy
0.0000 2.7893 4.2925 Sc
0.0000 5.5841 0.8927 Sc
2.2712 1.5457 2.3328 Sc
2.2712 3.5539 6.6035 Sc
2.2712 4.8195 3.2036 Sc
2.2712 6.8277 5.7326 Sc
0.0000 2.9440 1.5922 Pt
0.0000 5.4293 4.9921 Pt
2.2712 1.3018 5.0098 Pt
2.2712 7.0716 1.6099 Pt
```